The following is a calculated X-ray diffraction stick pattern of Sc2Pd. It was derived from a cell relaxed with GGA-PBE, using copper Kα.

Atomic structure:
```
Sc2Pd
1.0
0.0000 6.2527 6.2527
6.2527 0.0000 6.2527
6.2527 6.2527 0.0000
Sc Pd
16 8
Cartesian
0.0000 0.0000 0.0000
3.1263 3.1263 0.0000
3.1263 0.0000 3.1263
4.6895 4.6895 2.3892
4.6895 2.3892 4.6895
6.9898 4.6895 4.6895
7.8158 7.8158 5.5155
7.8158 5.5155 7.8158
10.1162 7.8158 7.8158
0.0000 3.1263 3.1263
2.3892 4.6895 4.6895
4.6895 6.9898 4.6895
4.6895 4.6895 6.9898
5.5155 7.8158 7.8158
7.8158 10.1162 7.8158
7.8158 7.8158 10.1162
9.8176 5.8140 5.8140
2.6877 2.6877 2.6877
6.6913 6.6913 2.6877
6.6913 2.6877 6.6913
5.8140 9.8176 5.8140
5.8140 5.8140 9.8176
9.8176 9.8176 9.8176
2.6877 6.6913 6.6913
```

Peak list (10 most intense, 5° ≤ 2θ ≤ 70°, sorted by position)
12.26°, 7.220 Å, I 26; 24.66°, 3.610 Å, I 25; 28.55°, 3.126 Å, I 9; 35.16°, 2.553 Å, I 18; 37.37°, 2.407 Å, I 100; 40.82°, 2.211 Å, I 21; 43.42°, 2.084 Å, I 17; 52.24°, 1.751 Å, I 11; 63.08°, 1.474 Å, I 24; 68.81°, 1.364 Å, I 13

The following is a calculated X-ray diffraction stick pattern of ScPd. It was derived from a cell relaxed with GGA-PBE, using copper Kα.

Atomic structure:
```
ScPd
1.0
3.3192 0.0000 0.0000
0.0000 3.3192 0.0000
0.0000 0.0000 3.3192
Sc Pd
1 1
Cartesian
0.0000 0.0000 0.0000
1.6596 1.6596 1.6596
```

Peak list (6 most intense, 5° ≤ 2θ ≤ 70°, sorted by position)
26.86°, 3.319 Å, I 22; 38.35°, 2.347 Å, I 100; 47.44°, 1.916 Å, I 7; 55.36°, 1.660 Å, I 16; 62.58°, 1.484 Å, I 9; 69.35°, 1.355 Å, I 32

The following is a calculated X-ray diffraction stick pattern of Sc2TcPd. It was derived from a cell relaxed with GGA-PBE, using copper Kα.

Atomic structure:
```
Sc2TcPd
1.0
6.5276 0.0000 0.0000
0.0000 6.5276 0.0000
0.0000 0.0000 6.5276
Sc Tc Pd
8 4 4
Cartesian
1.6319 1.6319 1.6319
1.6319 1.6319 4.8957
1.6319 4.8957 1.6319
1.6319 4.8957 4.8957
4.8957 1.6319 1.6319
4.8957 1.6319 4.8957
4.8957 4.8957 1.6319
4.8957 4.8957 4.8957
0.0000 0.0000 0.0000
0.0000 3.2638 3.2638
3.2638 0.0000 3.2638
3.2638 3.2638 0.0000
0.0000 0.0000 3.2638
0.0000 3.2638 0.0000
3.2638 0.0000 0.0000
3.2638 3.2638 3.2638
```

Peak list (5 most intense, 5° ≤ 2θ ≤ 70°, sorted by position)
27.33°, 3.264 Å, I 21; 39.03°, 2.308 Å, I 100; 48.30°, 1.884 Å, I 6; 56.38°, 1.632 Å, I 16; 63.76°, 1.460 Å, I 8

The following is a calculated X-ray diffraction stick pattern of Sc6Te2Pd. It was derived from a cell relaxed with GGA-PBE, using copper Kα.

Atomic structure:
```
Sc6Te2Pd
1.0
20.4035 0.0000 0.0000
0.0000 3.8278 0.0000
0.0000 0.0000 10.7586
Sc Te Pd
24 8 4
Cartesian
0.1043 0.9569 1.2018
0.5313 2.8708 4.0947
2.2209 0.9569 8.7115
2.8013 2.8708 0.6241
3.2309 0.9569 5.6958
4.7262 2.8708 7.9249
5.4755 0.9569 2.5456
6.9708 2.8708 0.3165
7.4004 0.9569 6.0034
7.9809 2.8708 3.3322
9.6705 0.9569 9.4740
10.0975 2.8708 6.5811
10.3060 0.9569 4.1775
10.7330 2.8708 1.2846
12.4226 0.9569 7.4264
13.0031 2.8708 4.7553
13.4327 0.9569 10.4421
14.9280 2.8708 8.2130
15.6773 0.9569 2.8337
17.1726 2.8708 5.0628
17.6022 0.9569 10.1346
18.1826 2.8708 2.0471
19.8722 0.9569 6.6639
20.2992 2.8708 9.5568
2.5562 0.9569 2.8510
4.8030 0.9569 10.2646
5.3988 2.8708 4.8853
7.6456 2.8708 8.2303
12.7579 0.9569 2.5283
15.0047 0.9569 5.8733
15.6005 2.8708 0.4940
17.8473 2.8708 7.9076
1.5580 2.8708 6.8265
8.6438 0.9569 1.4472
11.7597 2.8708 9.3115
18.8455 0.9569 3.9321
```

Peak list (10 most intense, 5° ≤ 2θ ≤ 70°, sorted by position)
24.04°, 3.701 Å, I 40; 33.15°, 2.702 Å, I 100; 34.26°, 2.617 Å, I 34; 34.49°, 2.601 Å, I 38; 35.41°, 2.535 Å, I 43; 36.23°, 2.479 Å, I 51; 36.80°, 2.442 Å, I 40; 39.19°, 2.298 Å, I 52; 42.00°, 2.151 Å, I 40; 47.51°, 1.914 Å, I 46

The following is a calculated X-ray diffraction stick pattern of TmScPd2. It was derived from a cell relaxed with GGA-PBE, using copper Kα.

Atomic structure:
```
TmScPd2
1.0
6.7878 0.0000 0.0000
0.0000 6.7878 0.0000
0.0000 0.0000 6.7878
Tm Sc Pd
4 4 8
Cartesian
0.0000 0.0000 0.0000
0.0000 3.3939 3.3939
3.3939 0.0000 3.3939
3.3939 3.3939 0.0000
0.0000 0.0000 3.3939
0.0000 3.3939 0.0000
3.3939 0.0000 0.0000
3.3939 3.3939 3.3939
1.6970 1.6970 1.6970
1.6970 1.6970 5.0909
1.6970 5.0909 1.6970
1.6970 5.0909 5.0909
5.0909 1.6970 1.6970
5.0909 1.6970 5.0909
5.0909 5.0909 1.6970
5.0909 5.0909 5.0909
```

Peak list (6 most intense, 5° ≤ 2θ ≤ 70°, sorted by position)
22.69°, 3.919 Å, I 19; 37.48°, 2.400 Å, I 100; 44.26°, 2.047 Å, I 11; 54.04°, 1.697 Å, I 17; 59.35°, 1.557 Å, I 5; 67.61°, 1.386 Å, I 34

The following is a calculated X-ray diffraction stick pattern of ScZn2Pd. It was derived from a cell relaxed with GGA-PBE, using copper Kα.

Atomic structure:
```
ScZn2Pd
1.0
6.3493 0.0000 0.0000
0.0000 6.3493 0.0000
0.0000 0.0000 6.3493
Sc Zn Pd
4 8 4
Cartesian
0.0000 0.0000 0.0000
0.0000 3.1747 3.1747
3.1747 0.0000 3.1747
3.1747 3.1747 0.0000
1.5873 1.5873 1.5873
1.5873 1.5873 4.7620
1.5873 4.7620 1.5873
1.5873 4.7620 4.7620
4.7620 1.5873 1.5873
4.7620 1.5873 4.7620
4.7620 4.7620 1.5873
4.7620 4.7620 4.7620
0.0000 0.0000 3.1747
0.0000 3.1747 0.0000
3.1747 0.0000 0.0000
3.1747 3.1747 3.1747
```

Peak list (5 most intense, 5° ≤ 2θ ≤ 70°, sorted by position)
24.28°, 3.666 Å, I 11; 40.17°, 2.245 Å, I 100; 47.49°, 1.914 Å, I 6; 58.11°, 1.587 Å, I 16; 63.91°, 1.457 Å, I 3

The following is a calculated X-ray diffraction stick pattern of ScZnPd2. It was derived from a cell relaxed with GGA-PBE, using copper Kα.

Atomic structure:
```
ScZnPd2
1.0
6.3848 0.0000 0.0000
0.0000 6.3848 0.0000
0.0000 0.0000 6.3848
Sc Zn Pd
4 4 8
Cartesian
0.0000 0.0000 0.0000
0.0000 3.1924 3.1924
3.1924 0.0000 3.1924
3.1924 3.1924 0.0000
0.0000 0.0000 3.1924
0.0000 3.1924 0.0000
3.1924 0.0000 0.0000
3.1924 3.1924 3.1924
1.5962 1.5962 1.5962
1.5962 1.5962 4.7886
1.5962 4.7886 1.5962
1.5962 4.7886 4.7886
4.7886 1.5962 1.5962
4.7886 1.5962 4.7886
4.7886 4.7886 1.5962
4.7886 4.7886 4.7886
```

Peak list (7 most intense, 5° ≤ 2θ ≤ 70°, sorted by position)
24.14°, 3.686 Å, I 2; 27.95°, 3.192 Å, I 12; 39.94°, 2.257 Å, I 100; 47.21°, 1.925 Å, I 1; 49.45°, 1.843 Å, I 3; 57.76°, 1.596 Å, I 16; 65.36°, 1.428 Å, I 5

The following is a calculated X-ray diffraction stick pattern of Pd4Se. It was derived from a cell relaxed with GGA-PBE, using copper Kα.

Atomic structure:
```
Pd4Se
1.0
5.3148 0.0000 0.0000
0.0000 5.3148 0.0000
0.0000 0.0000 5.7624
Pd Se
8 2
Cartesian
0.6787 1.4222 0.8902
1.2352 1.9787 3.7714
1.4222 4.6361 4.8722
1.9787 4.0796 1.9910
3.3361 1.2352 1.9910
3.8926 0.6787 4.8722
4.0796 3.3361 3.7714
4.6361 3.8926 0.8902
0.0000 0.0000 2.8812
2.6574 2.6574 0.0000
```

Peak list (10 most intense, 5° ≤ 2θ ≤ 70°, sorted by position)
35.44°, 2.533 Å, I 39; 37.26°, 2.413 Å, I 36; 37.85°, 2.377 Å, I 76; 39.41°, 2.287 Å, I 100; 41.08°, 2.197 Å, I 94; 46.49°, 1.953 Å, I 17; 49.73°, 1.833 Å, I 30; 50.52°, 1.806 Å, I 22; 57.08°, 1.613 Å, I 20; 65.34°, 1.428 Å, I 18